1.
Structure and theoretical XRD peak list of Ba2LiVP2O9 (DFT lattice parameters and positions (GGA+U); Cu Ka).

Structural model:
Cell lengths 9.607, 9.607, 9.820 Å; angles 108.94, 108.94, 31.87 degrees
Fractional coordinates of all 30 atoms:
Ba 0.017 0.983 0.500
Ba 0.653 0.698 0.832
Ba 0.698 0.653 0.332
Ba 0.983 0.017 0.000
Li 0.803 0.831 0.205
Li 0.831 0.803 0.705
V 0.308 0.387 0.917
V 0.387 0.308 0.417
P 0.209 0.238 0.097
P 0.238 0.209 0.597
P 0.439 0.518 0.746
P 0.518 0.439 0.246
O 0.149 0.432 0.225
O 0.192 0.289 0.952
O 0.269 0.801 0.782
O 0.289 0.192 0.452
O 0.294 0.519 0.611
O 0.307 0.992 0.585
O 0.326 0.717 0.220
O 0.432 0.149 0.725
O 0.441 0.461 0.377
O 0.461 0.441 0.877
O 0.496 0.944 0.122
O 0.519 0.294 0.111
O 0.717 0.326 0.720
O 0.734 0.962 0.403
O 0.801 0.269 0.282
O 0.944 0.496 0.622
O 0.962 0.734 0.903
O 0.992 0.307 0.085

Principal peaks in the range 2θ = 15–90°, by angle:
two_theta, intensity
20.43, 34
22.80, 89
24.81, 100
27.41, 35
30.83, 47
31.42, 38
33.25, 29
33.98, 31
36.71, 35
39.36, 25


2.
Structure and theoretical XRD peak list of Li2PuCrO6 (DFT lattice parameters and positions (GGA+U); Cu Ka).

Structural model:
Cell lengths 5.601, 5.601, 4.214 Å; angles 90.00, 90.00, 90.00 degrees
Fractional coordinates of all 10 atoms:
Li 0.000 0.500 0.000
Li 0.500 0.000 0.000
Pu 0.000 0.000 0.796
Cr 0.500 0.500 0.735
O 0.000 0.000 0.304
O 0.266 0.266 0.846
O 0.266 0.734 0.846
O 0.500 0.500 0.352
O 0.734 0.266 0.846
O 0.734 0.734 0.846

Principal peaks in the range 2θ = 15–90°, by angle:
two_theta, intensity
15.82, 62
21.08, 61
22.45, 100
26.47, 41
30.99, 57
31.96, 29
41.96, 30
45.82, 23
48.97, 25
50.95, 22


3.
Structure and theoretical XRD peak list of SrLiCrO3 (DFT lattice parameters and positions (GGA+U); Cu Ka).

Structural model:
Cell lengths 5.623, 5.623, 5.463 Å; angles 90.00, 90.00, 120.00 degrees
Fractional coordinates of all 12 atoms:
Sr 0.333 0.667 0.250
Sr 0.667 0.333 0.750
Li 0.333 0.667 0.750
Li 0.667 0.333 0.250
Cr 0.000 0.000 0.000
Cr 0.000 0.000 0.500
O 0.155 0.310 0.750
O 0.155 0.845 0.750
O 0.310 0.155 0.250
O 0.690 0.845 0.750
O 0.845 0.155 0.250
O 0.845 0.690 0.250

Principal peaks in the range 2θ = 15–90°, by angle:
two_theta, intensity
24.49, 78
31.83, 100
37.76, 56
40.56, 75
50.19, 45
52.46, 17
56.71, 18
60.67, 33
63.83, 17
66.51, 21


Copy entry 1 word for word.
Structure and theoretical XRD peak list of Ba2LiVP2O9 (DFT lattice parameters and positions (GGA+U); Cu Ka).

Structural model:
Cell lengths 9.607, 9.607, 9.820 Å; angles 108.94, 108.94, 31.87 degrees
Fractional coordinates of all 30 atoms:
Ba 0.017 0.983 0.500
Ba 0.653 0.698 0.832
Ba 0.698 0.653 0.332
Ba 0.983 0.017 0.000
Li 0.803 0.831 0.205
Li 0.831 0.803 0.705
V 0.308 0.387 0.917
V 0.387 0.308 0.417
P 0.209 0.238 0.097
P 0.238 0.209 0.597
P 0.439 0.518 0.746
P 0.518 0.439 0.246
O 0.149 0.432 0.225
O 0.192 0.289 0.952
O 0.269 0.801 0.782
O 0.289 0.192 0.452
O 0.294 0.519 0.611
O 0.307 0.992 0.585
O 0.326 0.717 0.220
O 0.432 0.149 0.725
O 0.441 0.461 0.377
O 0.461 0.441 0.877
O 0.496 0.944 0.122
O 0.519 0.294 0.111
O 0.717 0.326 0.720
O 0.734 0.962 0.403
O 0.801 0.269 0.282
O 0.944 0.496 0.622
O 0.962 0.734 0.903
O 0.992 0.307 0.085

Principal peaks in the range 2θ = 15–90°, by angle:
two_theta, intensity
20.43, 34
22.80, 89
24.81, 100
27.41, 35
30.83, 47
31.42, 38
33.25, 29
33.98, 31
36.71, 35
39.36, 25


Copy entry 1 word for word.
Structure and theoretical XRD peak list of Ba2LiVP2O9 (DFT lattice parameters and positions (GGA+U); Cu Ka).

Structural model:
Cell lengths 9.607, 9.607, 9.820 Å; angles 108.94, 108.94, 31.87 degrees
Fractional coordinates of all 30 atoms:
Ba 0.017 0.983 0.500
Ba 0.653 0.698 0.832
Ba 0.698 0.653 0.332
Ba 0.983 0.017 0.000
Li 0.803 0.831 0.205
Li 0.831 0.803 0.705
V 0.308 0.387 0.917
V 0.387 0.308 0.417
P 0.209 0.238 0.097
P 0.238 0.209 0.597
P 0.439 0.518 0.746
P 0.518 0.439 0.246
O 0.149 0.432 0.225
O 0.192 0.289 0.952
O 0.269 0.801 0.782
O 0.289 0.192 0.452
O 0.294 0.519 0.611
O 0.307 0.992 0.585
O 0.326 0.717 0.220
O 0.432 0.149 0.725
O 0.441 0.461 0.377
O 0.461 0.441 0.877
O 0.496 0.944 0.122
O 0.519 0.294 0.111
O 0.717 0.326 0.720
O 0.734 0.962 0.403
O 0.801 0.269 0.282
O 0.944 0.496 0.622
O 0.962 0.734 0.903
O 0.992 0.307 0.085

Principal peaks in the range 2θ = 15–90°, by angle:
two_theta, intensity
20.43, 34
22.80, 89
24.81, 100
27.41, 35
30.83, 47
31.42, 38
33.25, 29
33.98, 31
36.71, 35
39.36, 25